No. 1
The following is a theoretical powder diffraction line list of CsSmO3. It was derived from a crystal structure in the Materials Project, relaxed with PBE, using λ = 1.5418 Å (Cu Kα).
Lines closer than 0.1° are merged.

Main lines, low angle first (15 to 90 degrees two-theta):
| two_theta | intensity |
| --- | --- |
| 19.07 | 2 |
| 27.09 | 100 |
| 33.34 | 1 |
| 38.69 | 30 |
| 43.47 | 1 |
| 47.87 | 43 |
| 55.87 | 20 |
| 63.17 | 19 |
| 70.02 | 7 |
| 76.59 | 22 |
| 82.98 | 3 |
| 89.28 | 12 |

Cell and atoms:
a = 4.655 Å, b = 4.655 Å, c = 4.655 Å
α = 90.00°, β = 90.00°, γ = 90.00°
Fractional positions:
Cs 0.000 0.000 0.000
Sm 0.500 0.500 0.500
O 0.000 0.500 0.500
O 0.500 0.000 0.500
O 0.500 0.500 0.000

No. 2
The following is a theoretical powder diffraction line list of ZrCo5Si3. It was derived from a crystal structure in the Materials Project, relaxed with PBE, using λ = 1.5418 Å (Cu Kα).
Lines closer than 0.1° are merged.

Main lines, low angle first (15 to 90 degrees two-theta):
| two_theta | intensity |
| --- | --- |
| 30.93 | 16 |
| 37.77 | 16 |
| 39.82 | 100 |
| 41.14 | 8 |
| 43.08 | 9 |
| 44.93 | 10 |
| 50.11 | 32 |
| 50.73 | 9 |
| 55.03 | 16 |
| 57.09 | 8 |
| 77.61 | 11 |
| 87.07 | 10 |

Cell and atoms:
a = 14.547 Å, b = 14.547 Å, c = 3.642 Å
α = 90.00°, β = 90.00°, γ = 120.00°
Fractional positions:
Zr 0.100 0.395 0.250
Zr 0.294 0.900 0.250
Zr 0.395 0.294 0.750
Zr 0.605 0.706 0.250
Zr 0.706 0.100 0.750
Zr 0.900 0.605 0.750
Co 0.028 0.132 0.250
Co 0.048 0.780 0.250
Co 0.074 0.540 0.750
Co 0.105 0.972 0.250
Co 0.132 0.105 0.750
Co 0.149 0.735 0.750
Co 0.220 0.268 0.250
Co 0.224 0.652 0.250
Co 0.265 0.414 0.750
Co 0.268 0.048 0.750
Co 0.348 0.571 0.250
Co 0.414 0.149 0.250
Co 0.429 0.776 0.250
Co 0.460 0.535 0.750
Co 0.465 0.926 0.750
Co 0.535 0.074 0.250
Co 0.540 0.465 0.250
Co 0.571 0.224 0.750
Co 0.586 0.851 0.750
Co 0.652 0.429 0.750
Co 0.732 0.952 0.250
Co 0.735 0.586 0.250
Co 0.776 0.348 0.750
Co 0.780 0.732 0.750
Co 0.851 0.265 0.250
Co 0.868 0.895 0.250
Co 0.895 0.028 0.750
Co 0.926 0.460 0.250
Co 0.952 0.220 0.750
Co 0.972 0.868 0.750
Si 0.059 0.630 0.250
Si 0.118 0.252 0.750
Si 0.134 0.882 0.750
Si 0.237 0.555 0.750
Si 0.252 0.134 0.250
Si 0.318 0.763 0.750
Si 0.370 0.429 0.250
Si 0.429 0.059 0.750
Si 0.445 0.682 0.750
Si 0.555 0.318 0.250
Si 0.571 0.941 0.250
Si 0.630 0.571 0.750
Si 0.682 0.237 0.250
Si 0.748 0.866 0.750
Si 0.763 0.445 0.250
Si 0.866 0.118 0.250
Si 0.882 0.748 0.250
Si 0.941 0.370 0.750

No. 3
The following is a theoretical powder diffraction line list of Li3Cu2SbO6. It was derived from a crystal structure in the Materials Project, relaxed with PBE, using λ = 1.5418 Å (Cu Kα).
Lines closer than 0.1° are merged.

Main lines, low angle first (15 to 90 degrees two-theta):
| two_theta | intensity |
| --- | --- |
| 17.95 | 50 |
| 20.37 | 60 |
| 21.35 | 100 |
| 32.43 | 31 |
| 36.12 | 18 |
| 36.29 | 55 |
| 38.01 | 63 |
| 42.02 | 17 |
| 44.03 | 85 |
| 59.38 | 30 |
| 59.70 | 30 |
| 64.02 | 24 |

Cell and atoms:
a = 5.175 Å, b = 5.175 Å, c = 9.903 Å
α = 91.78°, β = 91.78°, γ = 114.82°
Fractional positions:
Li 0.089 0.911 0.750
Li 0.155 0.320 0.999
Li 0.320 0.155 0.499
Li 0.680 0.845 0.501
Li 0.845 0.680 0.001
Li 0.911 0.089 0.250
Cu 0.000 0.500 0.500
Cu 0.412 0.588 0.750
Cu 0.500 0.000 0.000
Cu 0.588 0.412 0.250
Sb 0.249 0.751 0.250
Sb 0.751 0.249 0.750
O 0.012 0.208 0.614
O 0.080 0.572 0.851
O 0.208 0.012 0.114
O 0.301 0.465 0.370
O 0.428 0.920 0.649
O 0.465 0.301 0.870
O 0.535 0.699 0.130
O 0.572 0.080 0.351
O 0.699 0.535 0.630
O 0.792 0.988 0.886
O 0.920 0.428 0.149
O 0.988 0.792 0.386

No. 4
The following is a theoretical powder diffraction line list of Co3SiGe2. It was derived from a crystal structure in the Materials Project, relaxed with PBE, using λ = 1.5418 Å (Cu Kα).
Lines closer than 0.1° are merged.

Main lines, low angle first (15 to 90 degrees two-theta):
| two_theta | intensity |
| --- | --- |
| 33.93 | 16 |
| 34.17 | 22 |
| 39.40 | 20 |
| 44.17 | 100 |
| 44.33 | 90 |
| 44.46 | 80 |
| 48.65 | 29 |
| 48.73 | 56 |
| 48.84 | 28 |
| 49.03 | 21 |
| 78.04 | 22 |
| 78.14 | 20 |

Cell and atoms:
a = 4.574 Å, b = 4.575 Å, c = 13.686 Å
α = 90.48°, β = 90.24°, γ = 90.26°
Fractional positions:
Co 0.000 0.000 0.000
Co 0.000 0.000 0.335
Co 0.006 0.998 0.668
Co 0.229 0.722 0.835
Co 0.230 0.726 0.509
Co 0.230 0.727 0.172
Co 0.506 0.238 0.579
Co 0.513 0.230 0.909
Co 0.513 0.231 0.244
Co 0.726 0.513 0.412
Co 0.727 0.513 0.078
Co 0.730 0.514 0.741
Si 0.206 0.531 0.675
Si 0.705 0.706 0.902
Si 0.706 0.707 0.237
Si 0.707 0.703 0.572
Ge 0.022 0.210 0.512
Ge 0.023 0.208 0.177
Ge 0.025 0.208 0.842
Ge 0.207 0.528 0.008
Ge 0.207 0.528 0.343
Ge 0.525 0.024 0.736
Ge 0.526 0.023 0.405
Ge 0.527 0.024 0.070

No. 5
The following is a theoretical powder diffraction line list of Li10CuSi2O10. It was derived from a crystal structure in the Materials Project, relaxed with PBE, using λ = 1.5418 Å (Cu Kα).
Lines closer than 0.1° are merged.

Main lines, low angle first (15 to 90 degrees two-theta):
| two_theta | intensity |
| --- | --- |
| 17.33 | 32 |
| 19.34 | 38 |
| 20.79 | 45 |
| 22.42 | 100 |
| 23.20 | 24 |
| 29.10 | 21 |
| 32.94 | 19 |
| 34.37 | 18 |
| 34.53 | 30 |
| 36.26 | 20 |
| 49.43 | 22 |
| 57.99 | 19 |

Cell and atoms:
a = 15.396 Å, b = 15.396 Å, c = 5.196 Å
α = 99.36°, β = 99.36°, γ = 22.99°
Fractional positions:
Li 0.010 0.010 0.272
Li 0.061 0.548 0.396
Li 0.136 0.727 0.098
Li 0.150 0.586 0.753
Li 0.175 0.175 0.928
Li 0.231 0.231 0.322
Li 0.273 0.864 0.902
Li 0.367 0.367 0.222
Li 0.414 0.850 0.247
Li 0.452 0.939 0.604
Li 0.548 0.061 0.396
Li 0.586 0.150 0.753
Li 0.633 0.633 0.778
Li 0.727 0.136 0.098
Li 0.769 0.769 0.678
Li 0.825 0.825 0.072
Li 0.850 0.414 0.247
Li 0.864 0.273 0.902
Li 0.939 0.452 0.604
Li 0.990 0.990 0.728
Cu 0.463 0.463 0.879
Cu 0.537 0.537 0.121
Si 0.100 0.100 0.512
Si 0.281 0.281 0.869
Si 0.719 0.719 0.131
Si 0.900 0.900 0.488
O 0.051 0.051 0.610
O 0.083 0.529 0.780
O 0.083 0.657 0.373
O 0.095 0.095 0.189
O 0.229 0.229 0.721
O 0.254 0.746 0.000
O 0.286 0.286 0.190
O 0.343 0.917 0.627
O 0.405 0.405 0.948
O 0.471 0.917 0.220
O 0.529 0.083 0.780
O 0.595 0.595 0.052
O 0.657 0.083 0.373
O 0.714 0.714 0.810
O 0.746 0.254 0.000
O 0.771 0.771 0.279
O 0.905 0.905 0.811
O 0.917 0.343 0.627
O 0.917 0.471 0.220
O 0.949 0.949 0.390

No. 6
The following is a theoretical powder diffraction line list of Gd6Zn23. It was derived from a crystal structure in the Materials Project, relaxed with PBE, using λ = 1.5418 Å (Cu Kα).
Lines closer than 0.1° are merged.

Main lines, low angle first (15 to 90 degrees two-theta):
| two_theta | intensity |
| --- | --- |
| 23.87 | 13 |
| 30.17 | 17 |
| 34.02 | 26 |
| 36.15 | 73 |
| 39.48 | 100 |
| 41.98 | 16 |
| 50.48 | 12 |
| 58.51 | 14 |
| 60.88 | 20 |
| 71.61 | 14 |
| 72.89 | 16 |
| 76.28 | 12 |

Cell and atoms:
a = 9.130 Å, b = 9.130 Å, c = 9.130 Å
α = 60.00°, β = 60.00°, γ = 60.00°
Fractional positions:
Gd 0.208 0.208 0.792
Gd 0.208 0.792 0.208
Gd 0.208 0.792 0.792
Gd 0.792 0.208 0.208
Gd 0.792 0.208 0.792
Gd 0.792 0.792 0.208
Zn 0.000 0.000 0.500
Zn 0.000 0.500 0.000
Zn 0.000 0.500 0.500
Zn 0.131 0.623 0.623
Zn 0.172 0.172 0.172
Zn 0.172 0.172 0.484
Zn 0.172 0.484 0.172
Zn 0.377 0.377 0.377
Zn 0.377 0.377 0.869
Zn 0.377 0.869 0.377
Zn 0.484 0.172 0.172
Zn 0.500 0.000 0.000
Zn 0.500 0.000 0.500
Zn 0.500 0.500 0.000
Zn 0.500 0.500 0.500
Zn 0.516 0.828 0.828
Zn 0.623 0.131 0.623
Zn 0.623 0.623 0.131
Zn 0.623 0.623 0.623
Zn 0.828 0.516 0.828
Zn 0.828 0.828 0.516
Zn 0.828 0.828 0.828
Zn 0.869 0.377 0.377

No. 7
The following is a theoretical powder diffraction line list of NaAlB14. It was derived from a crystal structure in the Materials Project, relaxed with PBE, using λ = 1.5418 Å (Cu Kα).
Lines closer than 0.1° are merged.

Main lines, low angle first (15 to 90 degrees two-theta):
| two_theta | intensity |
| --- | --- |
| 25.28 | 39 |
| 27.59 | 29 |
| 33.64 | 48 |
| 37.14 | 27 |
| 40.21 | 70 |
| 40.90 | 31 |
| 41.65 | 35 |
| 41.79 | 100 |
| 41.92 | 37 |
| 52.75 | 22 |
| 73.20 | 23 |
| 79.14 | 22 |

Cell and atoms:
a = 7.267 Å, b = 7.267 Å, c = 7.267 Å
α = 132.54°, β = 87.96°, γ = 111.07°
Fractional positions:
Na 0.403 0.153 0.250
Na 0.597 0.847 0.750
Al 0.000 0.000 0.500
Al 0.000 0.500 0.000
B 0.023 0.876 0.147
B 0.035 0.206 0.329
B 0.035 0.705 0.829
B 0.082 0.668 0.415
B 0.198 0.532 0.666
B 0.223 0.502 0.399
B 0.223 0.823 0.720
B 0.228 0.876 0.353
B 0.247 0.332 0.915
B 0.366 0.532 0.834
B 0.377 0.206 0.671
B 0.377 0.705 0.171
B 0.397 0.177 0.899
B 0.397 0.498 0.220
B 0.603 0.502 0.780
B 0.603 0.823 0.101
B 0.623 0.295 0.829
B 0.623 0.794 0.329
B 0.634 0.468 0.166
B 0.753 0.668 0.085
B 0.772 0.124 0.647
B 0.777 0.177 0.280
B 0.777 0.498 0.601
B 0.802 0.468 0.334
B 0.918 0.332 0.585
B 0.965 0.295 0.171
B 0.965 0.794 0.671
B 0.977 0.124 0.853

No. 8
The following is a theoretical powder diffraction line list of AlPt2. It was derived from a crystal structure in the Materials Project, relaxed with PBE, using λ = 1.5418 Å (Cu Kα).
Lines closer than 0.1° are merged.

Main lines, low angle first (15 to 90 degrees two-theta):
| two_theta | intensity |
| --- | --- |
| 27.67 | 34 |
| 29.37 | 50 |
| 35.36 | 59 |
| 37.60 | 25 |
| 39.56 | 74 |
| 39.96 | 35 |
| 40.37 | 100 |
| 41.21 | 66 |
| 43.99 | 55 |
| 47.69 | 33 |
| 66.88 | 25 |
| 77.35 | 31 |

Cell and atoms:
a = 5.471 Å, b = 4.116 Å, c = 7.980 Å
α = 90.00°, β = 90.00°, γ = 90.00°
Fractional positions:
Al 0.191 0.250 0.104
Al 0.309 0.750 0.604
Al 0.691 0.250 0.396
Al 0.809 0.750 0.896
Pt 0.043 0.250 0.790
Pt 0.161 0.250 0.431
Pt 0.339 0.750 0.931
Pt 0.457 0.750 0.290
Pt 0.543 0.250 0.710
Pt 0.661 0.250 0.069
Pt 0.839 0.750 0.569
Pt 0.957 0.750 0.210

Repeat the first record exactly.
The following is a theoretical powder diffraction line list of CsSmO3. It was derived from a crystal structure in the Materials Project, relaxed with PBE, using λ = 1.5418 Å (Cu Kα).
Lines closer than 0.1° are merged.

Main lines, low angle first (15 to 90 degrees two-theta):
| two_theta | intensity |
| --- | --- |
| 19.07 | 2 |
| 27.09 | 100 |
| 33.34 | 1 |
| 38.69 | 30 |
| 43.47 | 1 |
| 47.87 | 43 |
| 55.87 | 20 |
| 63.17 | 19 |
| 70.02 | 7 |
| 76.59 | 22 |
| 82.98 | 3 |
| 89.28 | 12 |

Cell and atoms:
a = 4.655 Å, b = 4.655 Å, c = 4.655 Å
α = 90.00°, β = 90.00°, γ = 90.00°
Fractional positions:
Cs 0.000 0.000 0.000
Sm 0.500 0.500 0.500
O 0.000 0.500 0.500
O 0.500 0.000 0.500
O 0.500 0.500 0.000

Which formula does entry 3 have?
Li3Cu2SbO6

What did the eighth record say?
The following is a theoretical powder diffraction line list of AlPt2. It was derived from a crystal structure in the Materials Project, relaxed with PBE, using λ = 1.5418 Å (Cu Kα).
Lines closer than 0.1° are merged.

Main lines, low angle first (15 to 90 degrees two-theta):
| two_theta | intensity |
| --- | --- |
| 27.67 | 34 |
| 29.37 | 50 |
| 35.36 | 59 |
| 37.60 | 25 |
| 39.56 | 74 |
| 39.96 | 35 |
| 40.37 | 100 |
| 41.21 | 66 |
| 43.99 | 55 |
| 47.69 | 33 |
| 66.88 | 25 |
| 77.35 | 31 |

Cell and atoms:
a = 5.471 Å, b = 4.116 Å, c = 7.980 Å
α = 90.00°, β = 90.00°, γ = 90.00°
Fractional positions:
Al 0.191 0.250 0.104
Al 0.309 0.750 0.604
Al 0.691 0.250 0.396
Al 0.809 0.750 0.896
Pt 0.043 0.250 0.790
Pt 0.161 0.250 0.431
Pt 0.339 0.750 0.931
Pt 0.457 0.750 0.290
Pt 0.543 0.250 0.710
Pt 0.661 0.250 0.069
Pt 0.839 0.750 0.569
Pt 0.957 0.750 0.210